(1)
The following is a computed X-ray powder pattern of Li13Ni15O28. It was derived from a PBE+U-relaxed structure, using copper Kα.
Kinematic intensities with the Lorentz-polarization factor, no thermal factor.

Structural model:
```
Li13Ni15O28
1.0
7.715 0.000 0.000
-2.176 7.920 0.000
-2.226 -2.655 8.022
Li Ni O
13 15 28
Direct
0.000 0.000 0.000
0.074 0.215 0.788
0.141 0.424 0.574
0.206 0.644 0.357
0.282 0.854 0.144
0.359 0.071 0.925
0.429 0.281 0.718
0.571 0.719 0.282
0.641 0.929 0.075
0.718 0.146 0.856
0.794 0.356 0.643
0.859 0.576 0.426
0.926 0.785 0.212
0.000 0.500 0.000
0.077 0.716 0.785
0.150 0.934 0.574
0.209 0.140 0.358
0.281 0.357 0.144
0.359 0.569 0.926
0.432 0.787 0.713
0.500 0.000 0.500
0.500 0.500 0.500
0.568 0.213 0.287
0.641 0.431 0.074
0.719 0.643 0.856
0.791 0.860 0.642
0.850 0.066 0.426
0.923 0.284 0.215
0.006 0.263 0.009
0.081 0.965 0.773
0.094 0.473 0.794
0.146 0.163 0.560
0.159 0.704 0.580
0.212 0.376 0.358
0.223 0.913 0.375
0.263 0.592 0.132
0.286 0.120 0.160
0.367 0.805 0.912
0.373 0.340 0.943
0.442 0.036 0.701
0.448 0.536 0.716
0.493 0.751 0.514
0.507 0.249 0.486
0.552 0.464 0.284
0.558 0.964 0.299
0.627 0.660 0.057
0.633 0.195 0.088
0.714 0.880 0.840
0.737 0.408 0.868
0.777 0.087 0.625
0.788 0.624 0.642
0.841 0.296 0.420
0.854 0.837 0.440
0.906 0.527 0.206
0.919 0.035 0.227
0.994 0.737 0.991
```

Most intense lines, 2θ = 10–90°, in order of rising 2θ:
- 2θ = 18.54°, 4.786 Å, I = 100
- 2θ = 36.16°, 2.484 Å, I = 29
- 2θ = 36.39°, 2.469 Å, I = 14
- 2θ = 37.58°, 2.393 Å, I = 8
- 2θ = 43.85°, 2.065 Å, I = 61
- 2θ = 44.11°, 2.053 Å, I = 30
- 2θ = 48.07°, 1.893 Å, I = 15
- 2θ = 57.91°, 1.592 Å, I = 10
- 2θ = 63.68°, 1.461 Å, I = 25
- 2θ = 64.22°, 1.450 Å, I = 17

(2)
The following is a computed X-ray powder pattern of Li17Ni11O28. It was derived from a PBE+U-relaxed structure, using copper Kα.
Kinematic intensities with the Lorentz-polarization factor, no thermal factor.

Structural model:
```
Li17Ni11O28
1.0
6.512 0.000 0.000
-0.003 7.617 0.000
-0.544 -3.788 9.436
Li Ni O
17 11 28
Direct
0.000 0.000 0.000
0.041 0.465 0.356
0.113 0.381 0.072
0.179 0.327 0.786
0.254 0.262 0.506
0.322 0.192 0.216
0.402 0.107 0.929
0.427 0.569 0.288
0.469 0.047 0.644
0.531 0.953 0.356
0.573 0.431 0.712
0.598 0.893 0.071
0.678 0.808 0.784
0.746 0.738 0.494
0.821 0.673 0.214
0.887 0.619 0.928
0.959 0.535 0.644
0.070 0.929 0.715
0.144 0.857 0.429
0.213 0.786 0.143
0.283 0.714 0.858
0.359 0.639 0.574
0.500 0.500 0.000
0.641 0.361 0.426
0.717 0.286 0.142
0.787 0.214 0.857
0.856 0.143 0.571
0.930 0.071 0.285
0.007 0.770 0.817
0.055 0.722 0.537
0.069 0.152 0.879
0.130 0.651 0.256
0.139 0.075 0.600
0.194 0.578 0.969
0.231 0.993 0.318
0.269 0.502 0.686
0.294 0.925 0.033
0.338 0.422 0.407
0.370 0.852 0.751
0.414 0.805 0.472
0.438 0.343 0.104
0.492 0.725 0.168
0.508 0.275 0.832
0.562 0.657 0.896
0.586 0.195 0.528
0.630 0.148 0.249
0.662 0.578 0.593
0.706 0.075 0.967
0.731 0.498 0.314
0.769 0.007 0.682
0.806 0.422 0.031
0.861 0.925 0.400
0.870 0.349 0.744
0.931 0.848 0.121
0.945 0.278 0.463
0.993 0.230 0.183
```

Most intense lines, 2θ = 10–90°, in order of rising 2θ:
- 2θ = 18.31°, 4.845 Å, I = 14
- 2θ = 18.75°, 4.733 Å, I = 100
- 2θ = 36.33°, 2.473 Å, I = 14
- 2θ = 37.11°, 2.423 Å, I = 11
- 2θ = 37.26°, 2.413 Å, I = 11
- 2θ = 43.97°, 2.059 Å, I = 27
- 2θ = 44.84°, 2.021 Å, I = 25
- 2θ = 45.17°, 2.007 Å, I = 24
- 2θ = 48.75°, 1.868 Å, I = 8
- 2θ = 64.78°, 1.439 Å, I = 20

(3)
The following is a computed X-ray powder pattern of Li4Ni5O10. It was derived from a PBE+U-relaxed structure, using copper Kα.
Kinematic intensities with the Lorentz-polarization factor, no thermal factor.

Structural model:
```
Li4Ni5O10
1.0
5.035 0.000 0.000
1.727 4.814 0.000
2.428 0.046 7.210
Li Ni O
4 5 10
Direct
0.000 0.000 0.000
0.201 0.998 0.587
0.404 0.001 0.204
0.605 0.000 0.783
0.099 0.504 0.798
0.303 0.499 0.394
0.503 0.501 0.992
0.699 0.504 0.598
0.902 0.496 0.200
0.054 0.276 0.394
0.188 0.718 0.180
0.253 0.294 0.992
0.363 0.737 0.806
0.421 0.291 0.608
0.559 0.719 0.394
0.643 0.278 0.177
0.753 0.709 0.993
0.819 0.273 0.804
0.961 0.716 0.609
```

Most intense lines, 2θ = 10–90°, in order of rising 2θ:
- 2θ = 18.43°, 4.814 Å, I = 100
- 2θ = 36.20°, 2.482 Å, I = 27
- 2θ = 36.70°, 2.449 Å, I = 12
- 2θ = 43.62°, 2.075 Å, I = 22
- 2θ = 43.85°, 2.065 Å, I = 21
- 2θ = 44.42°, 2.039 Å, I = 21
- 2θ = 47.98°, 1.896 Å, I = 9
- 2θ = 57.45°, 1.604 Å, I = 7
- 2θ = 63.32°, 1.469 Å, I = 6
- 2θ = 63.79°, 1.459 Å, I = 12

(4)
The following is a computed X-ray powder pattern of Li4Ni11O22. It was derived from a PBE+U-relaxed structure, using copper Kα.
Kinematic intensities with the Lorentz-polarization factor, no thermal factor.

Structural model:
```
Li4Ni11O22
1.0
7.448 0.000 0.000
3.173 7.004 0.000
2.878 -0.203 7.241
Li Ni O
4 11 22
Direct
0.161 0.109 0.396
0.307 0.551 0.939
0.693 0.449 0.061
0.839 0.891 0.604
0.000 0.500 0.500
0.091 0.229 0.772
0.182 0.954 0.046
0.269 0.685 0.319
0.368 0.405 0.586
0.454 0.138 0.865
0.546 0.862 0.135
0.632 0.595 0.414
0.731 0.315 0.681
0.818 0.046 0.954
0.909 0.771 0.228
0.040 0.901 0.297
0.064 0.807 0.988
0.112 0.650 0.560
0.139 0.550 0.254
0.227 0.280 0.524
0.229 0.355 0.835
0.317 0.082 0.111
0.319 0.012 0.797
0.384 0.834 0.375
0.431 0.711 0.075
0.499 0.470 0.342
0.501 0.530 0.658
0.569 0.289 0.925
0.616 0.166 0.625
0.681 0.988 0.203
0.683 0.918 0.889
0.771 0.645 0.165
0.773 0.720 0.476
0.861 0.450 0.746
0.888 0.350 0.440
0.936 0.193 0.012
0.960 0.099 0.703
```

Most intense lines, 2θ = 10–90°, in order of rising 2θ:
- 2θ = 17.87°, 4.964 Å, I = 100
- 2θ = 36.19°, 2.482 Å, I = 5
- 2θ = 36.87°, 2.438 Å, I = 12
- 2θ = 37.42°, 2.403 Å, I = 18
- 2θ = 44.19°, 2.050 Å, I = 30
- 2θ = 44.51°, 2.036 Å, I = 14
- 2θ = 57.04°, 1.615 Å, I = 5
- 2θ = 57.57°, 1.601 Å, I = 9
- 2θ = 65.53°, 1.425 Å, I = 4
- 2θ = 68.42°, 1.371 Å, I = 5

(5)
The following is a computed X-ray powder pattern of Li7Ni13O24. It was derived from a PBE+U-relaxed structure, using copper Kα.
Kinematic intensities with the Lorentz-polarization factor, no thermal factor.

Structural model:
```
Li7Ni13O24
1.0
6.288 -4.356 0.000
6.288 4.356 0.000
-6.248 0.000 7.561
Li Ni O
7 13 24
Direct
0.000 0.000 0.000
0.159 0.841 0.500
0.250 0.250 0.747
0.329 0.671 0.000
0.671 0.329 0.000
0.750 0.750 0.253
0.841 0.159 0.500
0.035 0.708 0.126
0.125 0.125 0.372
0.210 0.542 0.629
0.292 0.965 0.874
0.374 0.374 0.126
0.458 0.790 0.371
0.500 0.500 0.500
0.542 0.210 0.629
0.626 0.626 0.874
0.708 0.035 0.126
0.790 0.458 0.371
0.875 0.875 0.628
0.965 0.292 0.874
0.038 0.348 0.548
0.065 0.065 0.694
0.112 0.785 0.801
0.157 0.467 0.959
0.192 0.192 0.048
0.215 0.888 0.199
0.288 0.601 0.303
0.327 0.327 0.471
0.348 0.038 0.548
0.399 0.712 0.697
0.453 0.453 0.820
0.467 0.157 0.959
0.533 0.843 0.041
0.547 0.547 0.180
0.601 0.288 0.303
0.652 0.962 0.452
0.673 0.673 0.529
0.712 0.399 0.697
0.785 0.112 0.801
0.808 0.808 0.952
0.843 0.533 0.041
0.888 0.215 0.199
0.935 0.935 0.306
0.962 0.652 0.452
```

Most intense lines, 2θ = 10–90°, in order of rising 2θ:
- 2θ = 18.40°, 4.822 Å, I = 100
- 2θ = 36.39°, 2.469 Å, I = 25
- 2θ = 37.10°, 2.423 Å, I = 11
- 2θ = 37.30°, 2.411 Å, I = 8
- 2θ = 38.15°, 2.359 Å, I = 13
- 2θ = 43.84°, 2.065 Å, I = 51
- 2θ = 44.81°, 2.023 Å, I = 23
- 2θ = 57.63°, 1.599 Å, I = 10
- 2θ = 63.73°, 1.460 Å, I = 13
- 2θ = 65.24°, 1.430 Å, I = 13

(6)
The following is a computed X-ray powder pattern of Li7Ni9O16. It was derived from a PBE+U-relaxed structure, using copper Kα.
Kinematic intensities with the Lorentz-polarization factor, no thermal factor.

Structural model:
```
Li7Ni9O16
1.0
5.062 0.000 0.000
-1.685 5.564 0.000
-0.815 -3.207 9.917
Li Ni O
7 9 16
Direct
0.000 0.000 0.000
0.492 0.680 0.624
0.494 0.189 0.622
0.497 0.433 0.125
0.503 0.567 0.875
0.506 0.811 0.378
0.508 0.320 0.376
0.000 0.500 0.000
0.002 0.751 0.501
0.002 0.875 0.247
0.008 0.375 0.250
0.498 0.063 0.874
0.502 0.937 0.126
0.992 0.625 0.750
0.998 0.125 0.753
0.998 0.249 0.499
0.217 0.394 0.681
0.223 0.010 0.438
0.226 0.512 0.439
0.234 0.903 0.687
0.242 0.274 0.925
0.244 0.655 0.182
0.250 0.144 0.194
0.254 0.784 0.936
0.746 0.216 0.064
0.750 0.856 0.806
0.756 0.345 0.818
0.758 0.726 0.075
0.766 0.097 0.313
0.774 0.488 0.561
0.777 0.990 0.562
0.783 0.606 0.319
```

Most intense lines, 2θ = 10–90°, in order of rising 2θ:
- 2θ = 18.58°, 4.774 Å, I = 67
- 2θ = 20.62°, 4.307 Å, I = 15
- 2θ = 27.02°, 3.300 Å, I = 15
- 2θ = 37.73°, 2.384 Å, I = 28
- 2θ = 37.95°, 2.371 Å, I = 27
- 2θ = 43.90°, 2.062 Å, I = 100
- 2θ = 44.14°, 2.052 Å, I = 51
- 2θ = 63.74°, 1.460 Å, I = 27
- 2θ = 63.90°, 1.457 Å, I = 28
- 2θ = 64.07°, 1.453 Å, I = 14